Record 1
The following is a computed X-ray powder pattern of CePrSm6Dy2. It was derived from a cell relaxed with PBE, using Cu Ka.
Lines closer than 0.1° are merged.

Atomic structure:
```
CePrSm6Dy2
1.0
5.715 -3.426 0.000
5.715 3.426 0.000
-2.228 0.000 8.710
Ce Pr Sm Dy
1 1 6 2
direct
0.000 0.000 0.000
0.500 0.500 0.500
0.091 0.569 0.197
0.129 0.129 0.416
0.431 0.909 0.803
0.569 0.091 0.197
0.871 0.871 0.584
0.909 0.431 0.803
0.409 0.409 0.838
0.591 0.591 0.162
```

Peak list (12 most intense, 2θ = 15–90°, by intensity)
two_theta, d [Å], Rel. int.
31.07, 2.879, 100
33.74, 2.656, 57
31.40, 2.849, 54
27.11, 3.289, 43
55.92, 1.644, 39
30.69, 2.913, 38
32.62, 2.745, 36
33.27, 2.693, 34
30.52, 2.929, 29
29.06, 3.073, 26
30.80, 2.903, 25
46.69, 1.946, 18

***

Record 2
The following is a computed X-ray powder pattern of Tb3Ce2PrDy6. It was derived from a cell relaxed with PBE, using Cu Ka.
Lines closer than 0.1° are merged.

Atomic structure:
```
Tb3Ce2PrDy6
1.0
3.081 -5.337 0.000
3.081 5.337 0.000
-2.054 0.000 11.587
Tb Ce Pr Dy
3 2 1 6
direct
0.000 0.000 0.000
0.334 0.666 0.000
0.666 0.334 0.000
0.167 0.833 0.500
0.833 0.167 0.500
0.500 0.500 0.500
0.080 0.416 0.250
0.248 0.248 0.750
0.416 0.080 0.250
0.584 0.920 0.750
0.752 0.752 0.250
0.920 0.584 0.750
```

Peak list (12 most intense, 2θ = 15–90°, by intensity)
two_theta, d [Å], Rel. int.
30.81, 2.902, 100
35.72, 2.513, 51
61.12, 1.516, 32
51.36, 1.779, 18
51.47, 1.776, 18
61.23, 1.514, 11
64.14, 1.452, 9
83.81, 1.154, 9
86.53, 1.125, 8
86.69, 1.123, 8
75.68, 1.257, 6
83.93, 1.153, 4

***

Record 3
The following is a computed X-ray powder pattern of CePr2DyY5. It was derived from a cell relaxed with PBE, using Cu Ka.
Lines closer than 0.1° are merged.

Atomic structure:
```
CePr2DyY5
1.0
-4.319 4.319 7.906
4.319 -4.319 7.906
4.319 4.319 -7.906
Ce Pr Dy Y
2 4 2 10
direct
0.250 0.750 0.500
0.750 0.250 0.500
0.121 0.621 0.741
0.379 0.121 0.500
0.621 0.879 0.500
0.879 0.379 0.259
0.250 0.250 0.000
0.750 0.750 0.000
0.000 0.000 0.000
0.063 0.155 0.500
0.155 0.655 0.092
0.345 0.437 0.500
0.437 0.937 0.092
0.500 0.500 0.000
0.563 0.063 0.908
0.655 0.563 0.500
0.845 0.345 0.908
0.937 0.845 0.500
```

Peak list (12 most intense, 2θ = 15–90°, by intensity)
two_theta, d [Å], Rel. int.
30.66, 2.916, 100
28.65, 3.116, 67
29.24, 3.054, 50
43.44, 2.083, 22
52.74, 1.736, 22
37.98, 2.369, 21
40.09, 2.249, 20
32.78, 2.732, 19
36.72, 2.447, 16
45.91, 1.977, 15
59.34, 1.557, 14
31.40, 2.849, 13

***

Record 4
The following is a computed X-ray powder pattern of Ce2DySi2Pt7. It was derived from a cell relaxed with PBE, using Cu Ka.
Lines closer than 0.1° are merged.

Atomic structure:
```
Ce2DySi2Pt7
1.0
2.909 -2.867 0.000
2.909 2.867 0.000
-1.916 0.000 13.727
Ce Dy Si Pt
2 1 2 7
direct
0.108 0.108 0.356
0.892 0.892 0.644
0.000 0.000 0.000
0.415 0.415 0.749
0.585 0.585 0.251
0.054 0.553 0.159
0.382 0.382 0.576
0.447 0.946 0.841
0.500 0.500 0.000
0.553 0.054 0.159
0.618 0.618 0.424
0.946 0.447 0.841
```

Peak list (12 most intense, 2θ = 15–90°, by intensity)
two_theta, d [Å], Rel. int.
37.00, 2.429, 100
35.41, 2.535, 82
44.42, 2.039, 74
34.41, 2.606, 65
33.89, 2.645, 42
44.59, 2.032, 39
31.91, 2.804, 37
32.62, 2.745, 32
65.08, 1.433, 26
64.06, 1.454, 22
37.89, 2.374, 19
76.32, 1.248, 19

***

Record 5
The following is a computed X-ray powder pattern of CeSm2DyPt2. It was derived from a cell relaxed with PBE, using Cu Ka.
Lines closer than 0.1° are merged.

Atomic structure:
```
CeSm2DyPt2
1.0
-3.375 7.207 3.347
3.375 -7.207 3.347
3.375 7.207 -3.347
Ce Sm Dy Pt
2 4 2 4
direct
0.250 0.250 0.000
0.750 0.750 0.000
0.189 0.232 0.421
0.311 0.732 0.042
0.689 0.268 0.958
0.811 0.768 0.579
0.250 0.750 0.500
0.750 0.250 0.500
0.117 0.755 0.872
0.383 0.255 0.638
0.617 0.745 0.362
0.883 0.245 0.128
```

Peak list (12 most intense, 2θ = 15–90°, by intensity)
two_theta, d [Å], Rel. int.
37.86, 2.377, 100
42.15, 2.144, 55
36.48, 2.463, 51
36.64, 2.452, 51
31.15, 2.871, 49
29.42, 3.036, 47
29.22, 3.056, 47
54.34, 1.688, 28
22.41, 3.968, 24
58.05, 1.589, 23
57.82, 1.595, 21
26.63, 3.347, 19

***

Record 6
The following is a computed X-ray powder pattern of Ce2DyPuS5. It was derived from a cell relaxed with PBE, using Cu Ka.
Lines closer than 0.1° are merged.

Atomic structure:
```
Ce2DyPuS5
1.0
4.904 0.000 0.000
0.000 4.904 0.000
0.000 0.000 10.464
Ce Dy Pu S
2 1 1 5
direct
0.000 0.000 0.204
0.000 0.000 0.796
0.500 0.500 0.000
0.500 0.500 0.500
0.000 0.000 0.500
0.000 0.500 0.000
0.500 0.000 0.000
0.500 0.500 0.252
0.500 0.500 0.748
```

Peak list (12 most intense, 2θ = 15–90°, by intensity)
two_theta, d [Å], Rel. int.
24.89, 3.578, 100
25.69, 3.468, 85
36.65, 2.452, 47
44.81, 2.023, 44
43.32, 2.089, 26
51.05, 1.789, 24
36.54, 2.459, 20
59.61, 1.551, 19
34.28, 2.616, 18
52.80, 1.734, 16
59.25, 1.560, 14
70.60, 1.334, 13

***

Record 7
The following is a computed X-ray powder pattern of CeDy4Rh3. It was derived from a cell relaxed with PBE, using Cu Ka.
Lines closer than 0.1° are merged.

Atomic structure:
```
CeDy4Rh3
1.0
-5.545 5.545 3.005
5.545 -5.545 3.005
5.545 5.545 -3.005
Ce Dy Rh
2 8 6
direct
0.250 0.750 0.500
0.750 0.250 0.500
0.084 0.791 0.874
0.209 0.084 0.293
0.291 0.584 0.874
0.416 0.291 0.707
0.584 0.709 0.293
0.709 0.416 0.126
0.791 0.916 0.707
0.916 0.209 0.126
0.157 0.343 0.500
0.250 0.250 0.000
0.343 0.843 0.186
0.657 0.157 0.814
0.750 0.750 0.000
0.843 0.657 0.500
```

Peak list (12 most intense, 2θ = 15–90°, by intensity)
two_theta, d [Å], Rel. int.
36.60, 2.455, 100
32.71, 2.738, 74
36.23, 2.480, 50
33.93, 2.642, 43
37.71, 2.385, 39
57.34, 1.607, 34
29.73, 3.005, 28
58.89, 1.568, 17
67.35, 1.390, 17
54.67, 1.679, 17
68.54, 1.369, 16
44.46, 2.038, 15

***

Record 8
The following is a computed X-ray powder pattern of CeDy4Ru2. It was derived from a cell relaxed with PBE, using Cu Ka.
Lines closer than 0.1° are merged.

Atomic structure:
```
CeDy4Ru2
1.0
7.685 0.000 0.000
0.000 6.446 0.000
-3.413 0.000 7.458
Ce Dy Ru
2 8 4
direct
0.039 0.250 0.183
0.961 0.750 0.817
0.247 0.504 0.592
0.247 0.996 0.592
0.320 0.750 0.252
0.376 0.250 0.008
0.624 0.750 0.992
0.680 0.250 0.748
0.753 0.004 0.408
0.753 0.496 0.408
0.014 0.250 0.720
0.379 0.250 0.351
0.621 0.750 0.649
0.986 0.750 0.280
```

Peak list (12 most intense, 2θ = 15–90°, by intensity)
two_theta, d [Å], Rel. int.
30.19, 2.960, 100
32.83, 2.728, 52
35.54, 2.526, 52
30.81, 2.902, 37
37.99, 2.369, 36
34.83, 2.576, 35
57.13, 1.612, 35
34.55, 2.596, 31
36.41, 2.468, 28
31.55, 2.836, 27
32.51, 2.754, 27
48.20, 1.888, 24

***

Record 9
The following is a computed X-ray powder pattern of Ce2Dy3S4. It was derived from a cell relaxed with PBE, using Cu Ka.
Lines closer than 0.1° are merged.

Atomic structure:
```
Ce2Dy3S4
1.0
6.478 -1.946 0.000
6.478 1.946 0.000
-4.642 0.000 8.450
Ce Dy S
2 3 4
direct
0.098 0.098 0.405
0.902 0.902 0.595
0.295 0.295 0.196
0.500 0.500 0.000
0.705 0.705 0.804
0.103 0.103 0.904
0.303 0.303 0.706
0.697 0.697 0.294
0.897 0.897 0.096
```

Peak list (12 most intense, 2θ = 15–90°, by intensity)
two_theta, d [Å], Rel. int.
27.91, 3.196, 100
32.49, 2.756, 93
31.92, 2.804, 49
46.08, 1.970, 34
46.29, 1.961, 34
27.76, 3.213, 34
55.23, 1.663, 31
57.68, 1.598, 26
46.69, 1.946, 17
46.52, 1.952, 17
54.49, 1.684, 16
77.29, 1.234, 14

***

Record 10
The following is a computed X-ray powder pattern of Ce2Dy2S5. It was derived from a cell relaxed with PBE, using Cu Ka.
Lines closer than 0.1° are merged.

Atomic structure:
```
Ce2Dy2S5
1.0
7.043 -3.752 0.000
7.043 3.752 0.000
0.000 0.000 7.481
Ce Dy S
4 4 10
direct
0.198 0.198 0.000
0.302 0.302 0.500
0.698 0.698 0.500
0.802 0.802 0.000
0.156 0.844 0.659
0.344 0.656 0.159
0.656 0.344 0.841
0.844 0.156 0.341
0.000 0.000 0.000
0.024 0.710 0.348
0.210 0.524 0.848
0.290 0.976 0.348
0.476 0.790 0.848
0.500 0.500 0.500
0.524 0.210 0.152
0.710 0.024 0.652
0.790 0.476 0.152
0.976 0.290 0.652
```

Peak list (12 most intense, 2θ = 15–90°, by intensity)
two_theta, d [Å], Rel. int.
25.33, 3.516, 100
26.96, 3.307, 93
38.53, 2.337, 89
50.32, 1.813, 86
32.86, 2.726, 63
29.50, 3.028, 52
37.01, 2.429, 51
33.84, 2.649, 39
27.38, 3.257, 27
41.91, 2.156, 26
36.11, 2.488, 25
38.34, 2.348, 23

***

Record 11
The following is a computed X-ray powder pattern of Ce3DyS4. It was derived from a cell relaxed with PBE, using Cu Ka.
Lines closer than 0.1° are merged.

Atomic structure:
```
Ce3DyS4
1.0
5.632 0.000 0.000
0.000 5.632 0.000
0.000 0.000 5.632
Ce Dy S
3 1 4
direct
0.000 0.000 0.500
0.000 0.500 0.000
0.500 0.000 0.000
0.500 0.500 0.500
0.000 0.000 0.000
0.000 0.500 0.500
0.500 0.000 0.500
0.500 0.500 0.000
```

Peak list (9 most intense, 2θ = 15–90°, by intensity)
two_theta, d [Å], Rel. int.
31.78, 2.816, 100
27.43, 3.251, 74
45.56, 1.991, 72
54.00, 1.698, 37
75.50, 1.259, 32
56.62, 1.626, 25
84.23, 1.150, 24
73.27, 1.292, 15
66.40, 1.408, 11

***

Record 12
The following is a computed X-ray powder pattern of Ce4Dy3S8. It was derived from a cell relaxed with PBE, using Cu Ka.
Lines closer than 0.1° are merged.

Atomic structure:
```
Ce4Dy3S8
1.0
5.609 -5.612 0.000
5.609 5.612 0.000
-5.593 0.000 5.616
Ce Dy S
4 3 8
direct
0.000 0.000 0.000
0.000 0.500 0.000
0.500 0.000 0.000
0.500 0.500 0.500
0.000 0.500 0.500
0.500 0.000 0.500
0.500 0.500 0.000
0.247 0.753 0.500
0.250 0.250 0.507
0.251 0.251 0.994
0.254 0.746 0.000
0.746 0.254 0.000
0.749 0.749 0.006
0.750 0.750 0.493
0.753 0.247 0.500
```

Peak list (12 most intense, 2θ = 15–90°, by intensity)
two_theta, d [Å], Rel. int.
31.89, 2.806, 100
27.53, 3.240, 66
45.71, 1.985, 60
54.19, 1.693, 28
75.82, 1.255, 18
56.77, 1.622, 12
56.89, 1.619, 12
84.50, 1.147, 12
84.67, 1.145, 12
45.80, 1.981, 12
66.66, 1.403, 11
75.73, 1.256, 11